(1)
This entry pairs a crystal structure of BeNbBiW with its calculated PXRD pattern. Radiation: copper Kα. Structure: the GGA-PBE geometry in OQMD.
Lines closer than 0.1° are merged.

Most intense lines, 2θ = 10–80°, in order of rising 2θ:
| 2theta | I_rel |
| --- | --- |
| 23.6 | 42.4 |
| 27.3 | 7.1 |
| 39.0 | 100.0 |
| 46.0 | 22.8 |
| 48.2 | 2.0 |
| 56.3 | 17.3 |
| 61.9 | 9.7 |
| 63.7 | 2.7 |
| 70.6 | 35.5 |
| 75.6 | 7.4 |

Crystal structure
```
BeNbBiW
1.0
0.0000 3.2689 3.2689
3.2689 0.0000 3.2689
3.2689 3.2689 0.0000
Be Nb Bi W
1 1 1 1
direct
0.0000 0.0000 0.0000
0.2500 0.2500 0.2500
0.7500 0.7500 0.7500
0.5000 0.5000 0.5000
```



(2)
This entry pairs a crystal structure of BeZnNiBi with its calculated PXRD pattern. Radiation: copper Kα. Structure: the GGA-PBE geometry in OQMD.
Lines closer than 0.1° are merged.

Most intense lines, 2θ = 10–80°, in order of rising 2θ:
| 2theta | I_rel |
| --- | --- |
| 24.0 | 78.8 |
| 27.8 | 5.8 |
| 39.8 | 100.0 |
| 47.0 | 41.9 |
| 49.2 | 1.9 |
| 57.5 | 16.8 |
| 63.2 | 17.7 |
| 65.1 | 2.9 |
| 72.2 | 34.1 |
| 77.3 | 13.6 |

Crystal structure
```
BeZnNiBi
1.0
0.0000 3.2059 3.2059
3.2059 0.0000 3.2059
3.2059 3.2059 0.0000
Be Zn Ni Bi
1 1 1 1
direct
0.0000 0.0000 0.0000
0.7500 0.7500 0.7500
0.2500 0.2500 0.2500
0.5000 0.5000 0.5000
```



(3)
This entry pairs a crystal structure of BeBiOs2 with its calculated PXRD pattern. Radiation: copper Kα. Structure: the GGA-PBE geometry in OQMD.
Lines closer than 0.1° are merged.

Most intense lines, 2θ = 10–80°, in order of rising 2θ:
| 2theta | I_rel |
| --- | --- |
| 17.6 | 11.3 |
| 31.2 | 100.0 |
| 35.6 | 9.0 |
| 44.3 | 28.9 |
| 45.2 | 41.6 |
| 55.9 | 19.9 |
| 58.8 | 13.1 |
| 61.2 | 14.5 |
| 65.1 | 9.4 |
| 74.6 | 17.3 |

Crystal structure
```
BeBiOs2
1.0
4.0158 0.0000 0.0000
-2.0079 3.4778 0.0000
0.0000 0.0000 5.0499
Be Bi Os
1 1 2
direct
0.0000 0.0000 0.0000
0.6667 0.3333 0.7814
0.0000 0.0000 0.4422
0.3333 0.6667 0.2724
```



(4)
This entry pairs a crystal structure of BeBiPt with its calculated PXRD pattern. Radiation: copper Kα. Structure: the GGA-PBE geometry in OQMD.
Lines closer than 0.1° are merged.

Most intense lines, 2θ = 10–80°, in order of rising 2θ:
| 2theta | I_rel |
| --- | --- |
| 29.5 | 100.0 |
| 42.3 | 82.3 |
| 52.4 | 28.0 |
| 61.3 | 14.0 |
| 69.5 | 36.7 |
| 77.3 | 29.3 |

Crystal structure
```
BeBiPt
1.0
0.0000 3.0231 3.0231
3.0231 0.0000 3.0231
3.0231 3.0231 0.0000
Be Bi Pt
1 1 1
direct
0.0000 0.0000 0.0000
0.7500 0.7500 0.7500
0.2500 0.2500 0.2500
```



(5)
This entry pairs a crystal structure of BeBiPt3 with its calculated PXRD pattern. Radiation: copper Kα. Structure: the GGA-PBE geometry in OQMD.
Lines closer than 0.1° are merged.

Most intense lines, 2θ = 10–80°, in order of rising 2θ:
| 2theta | I_rel |
| --- | --- |
| 33.0 | 100.0 |
| 34.1 | 51.8 |
| 41.1 | 98.2 |
| 45.7 | 51.6 |
| 58.2 | 39.6 |
| 66.5 | 8.3 |
| 66.6 | 17.1 |
| 71.1 | 9.1 |
| 76.3 | 18.7 |
| 76.9 | 16.4 |

Crystal structure
```
BeBiPt3
1.0
3.9738 0.0000 0.0000
0.0000 3.9738 0.0000
0.0000 0.0000 10.5308
Be Bi Pt
2 2 6
direct
0.2500 0.2500 0.0022
0.7500 0.7500 0.9978
0.2500 0.2500 0.3898
0.7500 0.7500 0.6102
0.2500 0.2500 0.6707
0.2500 0.7500 0.1352
0.2500 0.7500 0.8648
0.7500 0.2500 0.1352
0.7500 0.2500 0.8648
0.7500 0.7500 0.3293
```



(6)
This entry pairs a crystal structure of Cs2Be2Cd3 with its calculated PXRD pattern. Radiation: copper Kα. Structure: the GGA-PBE geometry in OQMD.
Lines closer than 0.1° are merged.

Most intense lines, 2θ = 10–80°, in order of rising 2θ:
| 2theta | I_rel |
| --- | --- |
| 23.0 | 37.1 |
| 24.5 | 36.4 |
| 25.6 | 48.7 |
| 28.4 | 100.0 |
| 29.7 | 22.6 |
| 33.6 | 25.4 |
| 35.5 | 32.4 |
| 39.4 | 73.9 |
| 49.2 | 21.3 |
| 50.1 | 30.6 |

Crystal structure
```
Cs2Be2Cd3
1.0
2.2892 1.3217 12.0206
-2.2892 1.3217 12.0206
0.0000 -2.6433 12.0206
Cs Be Cd
2 2 3
direct
0.0000 0.0000 0.0000
0.4335 0.4335 0.4335
0.1826 0.1826 0.1826
0.6032 0.6032 0.6032
0.2573 0.2573 0.2573
0.5359 0.5359 0.5359
0.8402 0.8402 0.8402
```



(7)
This entry pairs a crystal structure of Be3Cd4Si3TeO12 with its calculated PXRD pattern. Radiation: copper Kα. Structure: the GGA-PBE geometry in OQMD.
Lines closer than 0.1° are merged.

Most intense lines, 2θ = 10–80°, in order of rising 2θ:
| 2theta | I_rel |
| --- | --- |
| 14.6 | 18.0 |
| 20.7 | 6.8 |
| 25.4 | 100.0 |
| 29.4 | 23.6 |
| 39.3 | 35.0 |
| 44.8 | 76.6 |
| 52.2 | 9.4 |
| 54.5 | 10.7 |
| 65.2 | 15.6 |
| 67.2 | 23.3 |

Crystal structure
```
Be3Cd4Si3TeO12
1.0
8.5860 0.0000 0.0000
0.0000 8.5860 0.0000
0.0000 0.0000 8.5860
Be Cd Si Te O
6 8 6 2 24
direct
0.0000 0.2500 0.5000
0.0000 0.7500 0.5000
0.2500 0.5000 0.0000
0.5000 0.0000 0.2500
0.5000 0.0000 0.7500
0.7500 0.5000 0.0000
0.1836 0.1836 0.1836
0.1836 0.8164 0.8164
0.3164 0.3164 0.6836
0.3164 0.6836 0.3164
0.6836 0.3164 0.3164
0.6836 0.6836 0.6836
0.8164 0.1836 0.8164
0.8164 0.8164 0.1836
0.0000 0.5000 0.2500
0.0000 0.5000 0.7500
0.2500 0.0000 0.5000
0.5000 0.2500 0.0000
0.5000 0.7500 0.0000
0.7500 0.0000 0.5000
0.0000 0.0000 0.0000
0.5000 0.5000 0.5000
0.0636 0.3532 0.6460
0.0636 0.6468 0.3540
0.1460 0.1468 0.4364
0.1460 0.8532 0.5636
0.1468 0.4364 0.1460
0.1468 0.5636 0.8540
0.3532 0.3540 0.9364
0.3532 0.6460 0.0636
0.3540 0.0636 0.6468
0.3540 0.9364 0.3532
0.4364 0.1460 0.1468
0.4364 0.8540 0.8532
0.5636 0.1460 0.8532
0.5636 0.8540 0.1468
0.6460 0.0636 0.3532
0.6460 0.9364 0.6468
0.6468 0.3540 0.0636
0.6468 0.6460 0.9364
0.8532 0.4364 0.8540
0.8532 0.5636 0.1460
0.8540 0.1468 0.5636
0.8540 0.8532 0.4364
0.9364 0.3532 0.3540
0.9364 0.6468 0.6460
```



(8)
This entry pairs a crystal structure of ZrBeCdPt with its calculated PXRD pattern. Radiation: copper Kα. Structure: the GGA-PBE geometry in OQMD.
Lines closer than 0.1° are merged.

Most intense lines, 2θ = 10–80°, in order of rising 2θ:
| 2theta | I_rel |
| --- | --- |
| 24.1 | 31.7 |
| 27.8 | 20.8 |
| 39.8 | 100.0 |
| 47.0 | 16.4 |
| 49.3 | 6.1 |
| 57.5 | 16.8 |
| 63.2 | 6.8 |
| 65.1 | 8.1 |
| 72.2 | 33.8 |
| 77.4 | 5.1 |

Crystal structure
```
ZrBeCdPt
1.0
0.0000 3.2044 3.2044
3.2044 0.0000 3.2044
3.2044 3.2044 0.0000
Zr Be Cd Pt
1 1 1 1
direct
0.0000 0.0000 0.0000
0.2500 0.2500 0.2500
0.7500 0.7500 0.7500
0.5000 0.5000 0.5000
```



(9)
This entry pairs a crystal structure of SrBeCd with its calculated PXRD pattern. Radiation: copper Kα. Structure: the GGA-PBE geometry in OQMD.
Lines closer than 0.1° are merged.

Most intense lines, 2θ = 10–80°, in order of rising 2θ:
| 2theta | I_rel |
| --- | --- |
| 21.3 | 100.0 |
| 24.6 | 3.1 |
| 35.1 | 94.6 |
| 41.4 | 53.1 |
| 50.5 | 16.3 |
| 55.4 | 22.0 |
| 62.9 | 32.9 |
| 67.3 | 16.1 |
| 74.2 | 10.1 |
| 78.2 | 15.7 |

Crystal structure
```
SrBeCd
1.0
0.0000 3.6168 3.6168
3.6168 0.0000 3.6168
3.6168 3.6168 0.0000
Sr Be Cd
1 1 1
direct
0.0000 0.0000 0.0000
0.7500 0.7500 0.7500
0.2500 0.2500 0.2500
```



(10)
This entry pairs a crystal structure of Be2Co3 with its calculated PXRD pattern. Radiation: copper Kα. Structure: the GGA-PBE geometry in OQMD.
Lines closer than 0.1° are merged.

Most intense lines, 2θ = 10–80°, in order of rising 2θ:
| 2theta | I_rel |
| --- | --- |
| 24.8 | 41.4 |
| 32.5 | 30.3 |
| 36.3 | 81.8 |
| 37.9 | 23.3 |
| 42.3 | 78.3 |
| 45.8 | 100.0 |
| 50.8 | 64.8 |
| 53.5 | 29.4 |
| 59.9 | 18.9 |
| 68.1 | 33.3 |

Crystal structure
```
Be2Co3
1.0
2.3712 1.3690 4.9480
-2.3712 1.3690 4.9480
0.0000 -2.7380 4.9480
Be Co
4 6
direct
0.1869 0.1869 0.1869
0.3131 0.3131 0.3131
0.6869 0.6869 0.6869
0.8131 0.8131 0.8131
0.1897 0.7500 0.3103
0.2500 0.6897 0.8103
0.3103 0.1897 0.7500
0.6897 0.8103 0.2500
0.7500 0.3103 0.1897
0.8103 0.2500 0.6897
```



(11)
This entry pairs a crystal structure of CsBe2Co with its calculated PXRD pattern. Radiation: copper Kα. Structure: the GGA-PBE geometry in OQMD.
Lines closer than 0.1° are merged.

Most intense lines, 2θ = 10–80°, in order of rising 2θ:
| 2theta | I_rel |
| --- | --- |
| 13.2 | 61.4 |
| 18.5 | 27.6 |
| 26.5 | 21.5 |
| 27.2 | 60.7 |
| 29.4 | 69.8 |
| 30.3 | 100.0 |
| 37.6 | 37.0 |
| 38.3 | 49.0 |
| 48.9 | 25.7 |
| 49.2 | 21.8 |

Crystal structure
```
CsBe2Co
1.0
3.7416 0.0000 0.0000
0.0000 6.7304 0.0000
0.0000 0.0000 6.8042
Cs Be Co
2 4 2
direct
0.2297 0.0000 0.0000
0.7703 0.0000 0.5000
0.0000 0.4599 0.2500
0.0000 0.5401 0.7500
0.4473 0.5000 0.5000
0.5527 0.5000 0.0000
0.5000 0.3314 0.2500
0.5000 0.6686 0.7500
```



(12)
This entry pairs a crystal structure of Be2Fe2CoSi2Ir with its calculated PXRD pattern. Radiation: copper Kα. Structure: the GGA-PBE geometry in OQMD.
Lines closer than 0.1° are merged.

Most intense lines, 2θ = 10–80°, in order of rising 2θ:
| 2theta | I_rel |
| --- | --- |
| 16.1 | 27.2 |
| 23.0 | 27.4 |
| 28.2 | 41.1 |
| 32.6 | 33.4 |
| 32.8 | 65.2 |
| 36.7 | 18.9 |
| 46.9 | 100.0 |
| 47.0 | 49.8 |
| 58.4 | 24.4 |
| 68.7 | 15.5 |

Crystal structure
```
Be2Fe2CoSi2Ir
1.0
3.8654 0.0000 0.0000
0.0000 3.8654 0.0000
0.0000 0.0000 5.5003
Be Fe Co Si Ir
2 2 1 2 1
direct
0.0000 0.5000 0.2382
0.5000 0.0000 0.7618
0.0000 0.0000 0.5000
0.5000 0.5000 0.0000
0.0000 0.0000 0.0000
0.0000 0.5000 0.7653
0.5000 0.0000 0.2347
0.5000 0.5000 0.5000
```



(13)
This entry pairs a crystal structure of BeCo2Ir with its calculated PXRD pattern. Radiation: copper Kα. Structure: the GGA-PBE geometry in OQMD.
Lines closer than 0.1° are merged.

Most intense lines, 2θ = 10–80°, in order of rising 2θ:
| 2theta | I_rel |
| --- | --- |
| 27.5 | 49.1 |
| 31.8 | 44.5 |
| 45.7 | 100.0 |
| 54.1 | 24.0 |
| 56.7 | 11.9 |
| 66.6 | 15.8 |
| 73.4 | 10.0 |
| 75.7 | 15.4 |

Crystal structure
```
BeCo2Ir
1.0
0.0000 2.8101 2.8101
2.8101 0.0000 2.8101
2.8101 2.8101 0.0000
Be Co Ir
1 2 1
direct
0.0000 0.0000 0.0000
0.5000 0.5000 0.5000
0.7500 0.7500 0.7500
0.2500 0.2500 0.2500
```



(14)
This entry pairs a crystal structure of Be2CoNi with its calculated PXRD pattern. Radiation: copper Kα. Structure: the GGA-PBE geometry in OQMD.
Lines closer than 0.1° are merged.

Most intense lines, 2θ = 10–80°, in order of rising 2θ:
| 2theta | I_rel |
| --- | --- |
| 34.3 | 51.7 |
| 34.8 | 99.5 |
| 49.7 | 100.0 |
| 50.0 | 48.8 |
| 62.1 | 33.2 |
| 72.3 | 7.5 |
| 73.5 | 14.3 |

Crystal structure
```
Be2CoNi
1.0
3.6463 0.0000 0.0000
0.0000 3.6463 0.0000
0.0000 0.0000 2.6144
Be Co Ni
2 1 1
direct
0.0000 0.5000 0.0000
0.5000 0.0000 0.0000
0.0000 0.0000 0.5000
0.5000 0.5000 0.5000
```